Computed powder diffractogram of Ba2Nb6Te2O21 for CuKα, from DFT lattice parameters and positions (PBE).
Intensities are scaled so that the largest is 1000.

Most intense lines, 10 to 90 degrees two-theta, in order of rising 2θ:
Position (°2θ)  intensity
19.91  197
24.61  866
24.92  1000
26.25  597
27.47  395
30.69  694
30.92  586
31.44  566
41.00  296
44.07  373
52.56  295
53.91  225

Atomic structure:
```
31
Lattice="8.4845 -2.8916 0.0000 8.4845 2.8916 0.0000 -1.1709 0.0000 9.7605" Properties=species:S:1:pos:R:3 pbc="T T T"
Ba 2.3485 0.0000 0.2802
Ba 13.4496 0.0000 9.4803
Nb 1.1735 0.0000 4.0409
Nb 5.0996 0.0000 3.2402
Nb 7.1837 0.0000 8.1754
Nb 8.6144 0.0000 1.5852
Nb 10.6985 0.0000 6.5204
Nb 14.6246 0.0000 5.7196
Te 3.7692 0.0000 7.3136
Te 12.0288 0.0000 2.4469
O -0.5855 0.0000 4.8803
O 4.5881 1.5013 1.6470
O 5.4991 1.4505 4.3632
O 6.5368 1.4991 7.0350
O 3.1408 0.0000 3.4102
O 8.4845 1.2853 0.0000
O 9.2613 1.4991 2.7255
O 5.0240 0.0000 8.7430
O 10.2990 1.4505 5.3973
O 6.8413 0.0000 2.1616
O 11.2100 1.5013 8.1135
O 4.5881 -1.5013 1.6470
O 8.9568 0.0000 7.5989
O 5.4991 -1.4505 4.3632
O 10.7741 0.0000 1.0175
O 6.5368 -1.4991 7.0350
O 8.4845 -1.2853 0.0000
O 12.6573 0.0000 6.3503
O 9.2613 -1.4991 2.7255
O 10.2990 -1.4505 5.3973
O 11.2100 -1.5013 8.1135
```